Entry 1:
# TbZn11Cu
Theoretical XRD peak list, λ = 1.5418 Å (Cu Kα). Input: the GGA-PBE geometry in Alexandria.

Peak list (10 most intense, 5 to 70 degrees two-theta, in order of rising 2θ)
2θ/deg	I_rel
28.37	23
34.54	18
35.01	49
40.28	74
40.69	100
40.82	57
45.39	26
45.90	16
66.00	11
66.13	11

Structural model:
Lattice parameters (Å, degrees): 5.193 12.504 6.763 90.00 112.41 90.00
Space group C2/m (No. 12)
Symmetry-distinct sites (fractional):
1 Tb 0.000 0.000 0.000
2 Zn 0.000 0.000 0.500
3 Zn 0.105 0.392 0.220
4 Zn 0.187 0.175 0.356
5 Zn 0.250 0.250 0.000
6 Cu 0.000 0.500 0.500

***

Entry 2:
# CuTc2
Theoretical XRD peak list, λ = 1.5418 Å (Cu Kα). Input: the GGA-PBE geometry in Alexandria.

Peak list (10 most intense, 5 to 70 degrees two-theta, in order of rising 2θ)
2θ/deg	I_rel
13.52	19
38.35	43
39.19	8
41.37	47
42.43	100
44.74	80
50.47	5
53.83	19
61.36	8
68.77	30

Structural model:
Lattice parameters (Å, degrees): 2.7300 2.7300 19.6439 90.00 90.00 120.00
Space group R3m (No. 160, hexagonal axes)
Symmetry-distinct sites (fractional):
1 Cu 0.0000 0.0000 0.0000
2 Tc 0.0000 0.0000 0.2183
3 Tc 0.0000 0.0000 0.4460

***

Entry 3:
# CuTc2
Theoretical XRD peak list, λ = 1.5418 Å (Cu Kα). Input: the GGA-PBE geometry in Alexandria.

Peak list (10 most intense, 5 to 70 degrees two-theta, in order of rising 2θ)
2θ/deg	I_rel
12.47	10
38.02	13
38.15	24
39.62	2
41.69	38
43.57	49
43.69	100
57.75	21
68.78	16
69.03	8

Structural model:
Lattice parameters (Å, degrees): 2.721 14.200 4.333 90.00 90.00 90.00
Space group Cmcm (No. 63)
Symmetry-distinct sites (fractional):
1 Cu 0.000 0.225 0.250
2 Tc 0.000 0.111 0.750
3 Tc 0.000 0.446 0.750

***

Entry 4:
# CuTc
Theoretical XRD peak list, λ = 1.5418 Å (Cu Kα). Input: the GGA-PBE geometry in Alexandria.

Peak list (9 most intense, 5 to 70 degrees two-theta, in order of rising 2θ)
2θ/deg	I_rel
26.47	3
26.59	3
41.63	100
43.37	1
48.37	32
48.62	16
56.01	1
56.20	1
66.99	1

Structural model:
Lattice parameters (Å, degrees): 8.397 3.766 3.745 90.00 116.39 90.00
Space group C2/m (No. 12)
Symmetry-distinct sites (fractional):
1 Cu 0.125 0.000 0.375
2 Tc 0.125 0.500 0.875

***

Entry 5:
# Cu5Tc3
Theoretical XRD peak list, λ = 1.5418 Å (Cu Kα). Input: the GGA-PBE geometry in Alexandria.

Peak list (10 most intense, 5 to 70 degrees two-theta, in order of rising 2θ)
2θ/deg	I_rel
31.03	14
36.65	35
39.98	16
41.77	13
41.94	100
47.03	33
49.21	19
50.74	17
52.94	17
54.94	12

Structural model:
Lattice parameters (Å, degrees): 7.4914 7.4914 4.5105 90.00 90.00 120.00
Space group P6_3/mcm (No. 193)
Symmetry-distinct sites (fractional):
1 Cu 0.0000 0.2003 0.2500
2 Cu 0.3333 0.6667 0.0000
3 Tc 0.0000 0.4155 0.7500

***

Entry 6:
# CuTc3
Theoretical XRD peak list, λ = 1.5418 Å (Cu Kα). Input: the GGA-PBE geometry in Alexandria.

Peak list (10 most intense, 5 to 70 degrees two-theta, in order of rising 2θ)
2θ/deg	I_rel
21.50	2
27.84	2
38.44	8
39.84	44
41.07	36
43.81	100
49.85	23
57.51	5
66.51	9
69.54	21

Structural model:
Lattice parameters (Å, degrees): 5.4076 5.4076 8.7903 90.00 90.00 120.00
Space group P6_3/mmc (No. 194)
Symmetry-distinct sites (fractional):
1 Cu 0.0000 0.0000 0.0000
2 Cu 0.3333 0.6667 0.2500
3 Tc 0.0000 0.5000 0.0000
4 Tc 0.1668 0.3337 0.7500

***

Entry 7:
# CuTc2
Theoretical XRD peak list, λ = 1.5418 Å (Cu Kα). Input: the GGA-PBE geometry in Alexandria.

Peak list (8 most intense, 5 to 70 degrees two-theta, in order of rising 2θ)
2θ/deg	I_rel
21.31	3
30.33	3
40.49	61
43.41	100
46.20	1
58.61	20
63.07	1
67.37	7

Structural model:
Lattice parameters (Å, degrees): 3.150 3.150 8.341 90.00 90.00 90.00
Space group I4/mmm (No. 139)
Symmetry-distinct sites (fractional):
1 Cu 0.000 0.000 0.000
2 Tc 0.000 0.000 0.332

***

Entry 8:
# Cu3Tc2
Theoretical XRD peak list, λ = 1.5418 Å (Cu Kα). Input: the GGA-PBE geometry in Alexandria.

Peak list (10 most intense, 5 to 70 degrees two-theta, in order of rising 2θ)
2θ/deg	I_rel
8.11	2
16.26	5
24.50	3
32.87	1
39.37	2
40.85	2
41.42	34
41.72	100
48.47	63
56.20	1

Structural model:
Lattice parameters (Å, degrees): 2.6494 2.6494 32.7006 90.00 90.00 120.00
Space group R-3m (No. 166, hexagonal axes)
Symmetry-distinct sites (fractional):
1 Cu 0.0000 0.0000 0.0000
2 Cu 0.0000 0.0000 0.1984
3 Tc 0.0000 0.0000 0.4011

***

Entry 9:
# CuTcW
Theoretical XRD peak list, λ = 1.5418 Å (Cu Kα). Input: the GGA-PBE geometry in Alexandria.

Peak list (10 most intense, 5 to 70 degrees two-theta, in order of rising 2θ)
2θ/deg	I_rel
21.93	16
24.44	31
36.02	12
40.04	100
40.95	94
44.45	37
46.93	9
48.39	58
67.80	41
69.60	9

Structural model:
Lattice parameters (Å, degrees): 2.620 4.076 8.105 90.00 90.00 90.00
Space group Imm2 (No. 44)
Symmetry-distinct sites (fractional):
1 Cu 0.000 0.000 0.000
2 Tc 0.000 0.000 0.662
3 W 0.000 0.000 0.334

***

Entry 10:
# Zr4Cu3Tc
Theoretical XRD peak list, λ = 1.5418 Å (Cu Kα). Input: the GGA-PBE geometry in Alexandria.

Peak list (9 most intense, 5 to 70 degrees two-theta, in order of rising 2θ)
2θ/deg	I_rel
6.77	4
13.57	1
27.02	1
27.33	1
38.59	51
38.81	100
55.72	17
56.38	8
69.97	33

Structural model:
Lattice parameters (Å, degrees): 3.299 3.299 13.055 90.00 90.00 90.00
Space group P4/mmm (No. 123)
Symmetry-distinct sites (fractional):
1 Zr 0.000 0.000 0.122
2 Zr 0.000 0.000 0.374
3 Cu 0.500 0.500 0.249
4 Cu 0.500 0.500 0.500
5 Tc 0.500 0.500 0.000

***

Entry 11:
# CuTe2
Theoretical XRD peak list, λ = 1.5418 Å (Cu Kα). Input: the GGA-PBE geometry in Alexandria.

Peak list (10 most intense, 5 to 70 degrees two-theta, in order of rising 2θ)
2θ/deg	I_rel
26.50	40
26.83	72
29.98	64
31.00	100
35.07	52
41.28	44
43.74	40
46.70	40
47.70	29
54.57	40

Structural model:
Lattice parameters (Å, degrees): 11.149 4.139 6.743 90.00 90.00 90.00
Space group Pnma (No. 62)
Symmetry-distinct sites (fractional):
1 Cu 0.142 0.250 0.131
2 Te 0.023 0.250 0.783
3 Te 0.217 0.250 0.512

***

Entry 12:
# Cu3Te
Theoretical XRD peak list, λ = 1.5418 Å (Cu Kα). Input: the GGA-PBE geometry in Alexandria.

Peak list (8 most intense, 5 to 70 degrees two-theta, in order of rising 2θ)
2θ/deg	I_rel
25.09	18
35.77	46
40.16	68
44.19	100
51.49	3
58.10	4
64.27	2
67.24	13

Structural model:
Lattice parameters (Å, degrees): 5.020 5.020 5.020 90.00 90.00 90.00
Space group Pm-3n (No. 223)
Symmetry-distinct sites (fractional):
1 Cu 0.000 0.250 0.500
2 Te 0.000 0.000 0.000

***

Entry 13:
# CuTe2
Theoretical XRD peak list, λ = 1.5418 Å (Cu Kα). Input: the GGA-PBE geometry in Alexandria.

Peak list (10 most intense, 5 to 70 degrees two-theta, in order of rising 2θ)
2θ/deg	I_rel
24.87	11
26.30	20
30.77	100
36.38	23
42.77	24
45.07	30
45.35	16
51.76	12
59.15	17
64.10	14

Structural model:
Lattice parameters (Å, degrees): 4.000 7.162 10.478 90.00 90.00 90.00
Space group Cmce (No. 64)
Symmetry-distinct sites (fractional):
1 Cu 0.000 0.000 0.000
2 Te 0.000 0.193 0.368

***

Entry 14:
# CuTe4
Theoretical XRD peak list, λ = 1.5418 Å (Cu Kα). Input: the GGA-PBE geometry in Alexandria.

Peak list (10 most intense, 5 to 70 degrees two-theta, in order of rising 2θ)
2θ/deg	I_rel
18.97	9
26.95	74
33.16	5
38.48	100
43.24	2
47.60	21
51.69	2
55.55	17
62.80	27
69.60	34

Structural model:
Lattice parameters (Å, degrees): 6.617 6.617 6.617 90.00 90.00 90.00
Space group Im-3m (No. 229)
Symmetry-distinct sites (fractional):
1 Cu 0.000 0.000 0.000
2 Te 0.250 0.250 0.250